Record 1
The following is a computed powder diffractogram of Zr6Ga2NiH10. It was derived from a PBE-relaxed structure, using Cu Kα.
No peak broadening, texture or thermal motion is included.

Atomic structure:
Cell: 8.031 8.031 7.227 Å, 90.00 90.00 120.00°
Positions (direct):
Zr 0.000 0.736 0.000
Zr 0.000 0.736 0.500
Zr 0.046 0.420 0.250
Zr 0.264 0.264 0.000
Zr 0.264 0.264 0.500
Zr 0.374 0.954 0.250
Zr 0.420 0.046 0.750
Zr 0.580 0.626 0.250
Zr 0.626 0.580 0.750
Zr 0.736 0.000 0.000
Zr 0.736 0.000 0.500
Zr 0.954 0.374 0.750
Ga 0.333 0.667 0.547
Ga 0.333 0.667 0.953
Ga 0.667 0.333 0.047
Ga 0.667 0.333 0.453
Ni 0.000 0.000 0.250
Ni 0.000 0.000 0.750
H 0.000 0.000 0.000
H 0.000 0.000 0.500
H 0.000 0.278 0.000
H 0.000 0.278 0.500
H 0.111 0.706 0.250
H 0.121 0.878 0.750
H 0.122 0.243 0.750
H 0.243 0.122 0.250
H 0.278 0.000 0.000
H 0.278 0.000 0.500
H 0.294 0.406 0.250
H 0.406 0.294 0.750
H 0.594 0.889 0.250
H 0.706 0.111 0.750
H 0.722 0.722 0.000
H 0.722 0.722 0.500
H 0.757 0.879 0.750
H 0.878 0.121 0.250
H 0.879 0.757 0.250
H 0.889 0.594 0.750

Main lines, sorted by position (2θ from 10° to 80°):
33.36°, 2.686 Å, rel. 100
34.11°, 2.629 Å, rel. 53
35.84°, 2.506 Å, rel. 62
38.84°, 2.318 Å, rel. 49
42.53°, 2.126 Å, rel. 27
63.76°, 1.460 Å, rel. 29


Record 2
The following is a computed powder diffractogram of PmRh3. It was derived from a PBE-relaxed structure, using Cu Kα.
No peak broadening, texture or thermal motion is included.

Atomic structure:
Cell: 4.115 4.115 4.115 Å, 90.00 90.00 90.00°
Positions (direct):
Pm 0.000 0.000 0.000
Rh 0.000 0.500 0.500
Rh 0.500 0.000 0.500
Rh 0.500 0.500 0.000

Main lines, sorted by position (2θ from 10° to 80°):
21.60°, 4.115 Å, rel. 2
30.73°, 2.910 Å, rel. 2
37.87°, 2.376 Å, rel. 100
44.01°, 2.057 Å, rel. 49
64.00°, 1.455 Å, rel. 32
76.83°, 1.241 Å, rel. 37


Record 3
The following is a computed powder diffractogram of Nb5B6. It was derived from a PBE-relaxed structure, using Cu Kα.
No peak broadening, texture or thermal motion is included.

Atomic structure:
Cell: 11.573 11.573 3.320 Å, 90.00 90.00 164.27°
Positions (direct):
Nb 0.000 0.000 0.000
Nb 0.194 0.806 0.500
Nb 0.386 0.614 0.000
Nb 0.614 0.386 0.000
Nb 0.806 0.194 0.500
B 0.082 0.918 0.500
B 0.272 0.728 0.000
B 0.460 0.540 0.500
B 0.540 0.460 0.500
B 0.728 0.272 0.000
B 0.918 0.082 0.500

Main lines, sorted by position (2θ from 10° to 80°):
27.98°, 3.189 Å, rel. 49
34.41°, 2.606 Å, rel. 100
41.11°, 2.195 Å, rel. 97
41.63°, 2.170 Å, rel. 68
66.81°, 1.400 Å, rel. 28
66.94°, 1.398 Å, rel. 29


Record 4
The following is a computed powder diffractogram of Sr2UNi. It was derived from a PBE-relaxed structure, using Cu Kα.
No peak broadening, texture or thermal motion is included.

Atomic structure:
Cell: 5.631 5.631 5.631 Å, 60.00 60.00 60.00°
Positions (direct):
Sr 0.250 0.250 0.250
Sr 0.750 0.750 0.750
U 0.000 0.000 0.000
Ni 0.500 0.500 0.500

Main lines, sorted by position (2θ from 10° to 80°):
19.31°, 4.598 Å, rel. 25
31.78°, 2.815 Å, rel. 100
37.46°, 2.401 Å, rel. 15
45.57°, 1.991 Å, rel. 18
56.62°, 1.626 Å, rel. 39
75.51°, 1.259 Å, rel. 17